(1)
This entry pairs a crystal structure of HfZrTlB with its calculated X-ray diffraction stick pattern. Radiation: Cu Kα (weighted mean of Kα1 and Kα2). Structure: a crystal structure in OQMD, relaxed with PBE.

Principal peaks in the range 10 to 90 degrees two-theta, most intense first:
2theta	I (rel.)	h k l
34.81	100.0	1 0 3
29.93	25.0	1 0 0
65.33	20.8	1 1 6
35.17	20.7	0 0 6
53.13	20.5	1 1 0
62.87	18.1	1 0 9
46.83	16.7	1 0 6
65.10	16.4	2 0 3
88.80	14.7	2 1 3
86.80	7.7	2 0 9

Crystal structure
```
data_HfZrTlB
_chemical_formula_sum 'Hf2 Zr2 Tl2 B2'
_space_group_name_H-M_alt 'P -6 m 2'
_space_group_IT_number 187
_space_group_name_Hall 'P -6 2'
_cell_length_a 3.4474
_cell_length_b 3.4474
_cell_length_c 15.3108
_cell_angle_alpha 90.00
_cell_angle_beta 90.00
_cell_angle_gamma 120.00
loop_
_atom_site_label
_atom_site_type_symbol
_atom_site_fract_x
_atom_site_fract_y
_atom_site_fract_z
Hf1 Hf 0.0000 0.0000 0.1650
Zr1 Zr 0.3333 0.6667 0.3320
Tl1 Tl 0.0000 0.0000 0.5000
Tl2 Tl 0.3333 0.6667 0.0000
B1 B 0.6667 0.3333 0.2468
```

(2)
This entry pairs a crystal structure of Na4Ga2NiPt with its calculated X-ray diffraction stick pattern. Radiation: Cu Kα (weighted mean of Kα1 and Kα2). Structure: a crystal structure in OQMD, relaxed with PBE.

Principal peaks in the range 10 to 90 degrees two-theta, most intense first:
2theta	I (rel.)	h k l
38.60	100.0	2 0 0
23.36	51.0	1 0 1
69.85	32.8	3 1 2
45.61	26.4	2 1 1
55.74	16.7	2 2 0
19.02	12.1	1 0 0
13.43	11.9	0 0 1
61.25	11.1	3 0 1
82.77	10.1	4 0 0
87.48	8.8	4 1 1

Crystal structure
```
data_Na4Ga2NiPt
_chemical_formula_sum 'Na4 Ga2 Ni1 Pt1'
_space_group_name_H-M_alt 'P -4 m 2'
_space_group_IT_number 115
_space_group_name_Hall 'P -4 -2'
_cell_length_a 4.665
_cell_length_b 4.665
_cell_length_c 6.594
_cell_angle_alpha 90.00
_cell_angle_beta 90.00
_cell_angle_gamma 90.00
loop_
_atom_site_label
_atom_site_type_symbol
_atom_site_fract_x
_atom_site_fract_y
_atom_site_fract_z
Na1 Na 0.000 0.000 0.000
Na2 Na 0.000 0.500 0.744
Na3 Na 0.500 0.500 0.500
Ga1 Ga 0.000 0.500 0.253
Ni1 Ni 0.000 0.000 0.500
Pt1 Pt 0.500 0.500 0.000
```

(3)
This entry pairs a crystal structure of Cu5Ag4 with its calculated X-ray diffraction stick pattern. Radiation: Cu Kα (weighted mean of Kα1 and Kα2). Structure: a crystal structure in OQMD, relaxed with PBE.

Principal peaks in the range 10 to 90 degrees two-theta, most intense first:
2theta	I (rel.)	h k l
40.03	100.0	1 0 3
46.83	58.1	0 1 6
40.93	26.0	0 0 9
67.75	19.5	1 1 0
82.29	18.3	1 1 9
69.01	13.1	1 0 12
81.70	11.2	0 2 3
86.40	9.1	2 0 6
83.47	6.2	0 1 15
64.68	4.5	1 0 11

Crystal structure
```
data_Cu5Ag4
_chemical_formula_sum 'Cu5 Ag4'
_space_group_name_H-M_alt 'P 3 m 1'
_space_group_IT_number 156
_space_group_name_Hall 'P 3 -2"'
_cell_length_a 2.7661
_cell_length_b 2.7661
_cell_length_c 19.8433
_cell_angle_alpha 90.00
_cell_angle_beta 90.00
_cell_angle_gamma 120.00
loop_
_atom_site_label
_atom_site_type_symbol
_atom_site_fract_x
_atom_site_fract_y
_atom_site_fract_z
Cu1 Cu 0.0000 0.0000 0.0000
Cu2 Cu 0.0000 0.0000 0.3252
Cu3 Cu 0.3333 0.6667 0.2259
Cu4 Cu 0.6667 0.3333 0.4245
Cu5 Cu 0.6667 0.3333 0.7756
Ag1 Ag 0.0000 0.0000 0.6637
Ag2 Ag 0.3333 0.6667 0.5375
Ag3 Ag 0.3333 0.6667 0.8877
Ag4 Ag 0.6667 0.3333 0.1125
```

(4)
This entry pairs a crystal structure of Cu4Ag with its calculated X-ray diffraction stick pattern. Radiation: Cu Kα (weighted mean of Kα1 and Kα2). Structure: a crystal structure in OQMD, relaxed with PBE.

Principal peaks in the range 10 to 90 degrees two-theta, most intense first:
2theta	I (rel.)	h k l
41.63	100.0	1 1 -2
48.22	63.7	1 1 3
41.84	49.3	2 0 1
42.28	46.9	0 0 5
49.67	28.5	2 0 -4
71.41	17.8	3 1 -1
72.04	16.8	1 1 -7
84.97	11.4	2 2 1
85.27	10.9	0 2 5
85.68	10.7	3 1 4

Crystal structure
```
data_Cu4Ag
_chemical_formula_sum 'Cu8 Ag2'
_space_group_name_H-M_alt 'P 1 21/m 1'
_space_group_IT_number 11
_space_group_name_Hall '-P 2yb'
_cell_length_a 4.550
_cell_length_b 2.689
_cell_length_c 10.764
_cell_angle_alpha 90.00
_cell_angle_beta 96.80
_cell_angle_gamma 90.00
loop_
_atom_site_label
_atom_site_type_symbol
_atom_site_fract_x
_atom_site_fract_y
_atom_site_fract_z
Cu1 Cu 0.048 0.250 0.407
Cu2 Cu 0.262 0.250 0.994
Cu3 Cu 0.347 0.750 0.795
Cu4 Cu 0.443 0.250 0.595
Ag1 Ag 0.153 0.750 0.200
```

(5)
This entry pairs a crystal structure of Zn2Ge2PN3 with its calculated X-ray diffraction stick pattern. Radiation: Cu Kα (weighted mean of Kα1 and Kα2). Structure: a crystal structure in OQMD, relaxed with PBE.

Principal peaks in the range 10 to 90 degrees two-theta, most intense first:
2theta	I (rel.)	h k l
32.37	100.0	1 1 1
32.97	92.6	3 1 -1
53.65	28.0	2 2 -2
55.47	26.1	4 2 0
36.83	18.1	2 0 -2
37.59	16.9	0 2 0
39.25	15.5	4 0 0
54.11	14.7	2 0 2
55.71	12.1	6 0 -2
67.54	11.5	7 1 -1

Crystal structure
```
data_Zn2Ge2PN3
_chemical_formula_sum 'Zn4 Ge4 P2 N6'
_space_group_name_H-M_alt 'C 1 2 1'
_space_group_IT_number 5
_space_group_name_Hall 'C 2y'
_cell_length_a 10.285
_cell_length_b 4.786
_cell_length_c 4.882
_cell_angle_alpha 90.00
_cell_angle_beta 116.78
_cell_angle_gamma 90.00
loop_
_atom_site_label
_atom_site_type_symbol
_atom_site_fract_x
_atom_site_fract_y
_atom_site_fract_z
Zn1 Zn 0.138 0.000 0.358
Ge1 Ge 0.134 0.551 0.905
P1 P 0.000 0.280 0.500
N1 N 0.000 0.753 0.000
N2 N 0.250 0.286 0.213
```

(6)
This entry pairs a crystal structure of KHfAgSeS2 with its calculated X-ray diffraction stick pattern. Radiation: Cu Kα (weighted mean of Kα1 and Kα2). Structure: a crystal structure in OQMD, relaxed with PBE.

Principal peaks in the range 10 to 90 degrees two-theta, most intense first:
2theta	I (rel.)	h k l
12.16	100.0	1 0 -1
31.81	23.5	2 1 -1
32.76	19.4	2 1 0
35.59	15.9	1 1 -3
44.43	15.3	2 1 -4
28.77	12.0	1 1 1
34.46	10.0	1 0 3
46.70	9.6	0 2 0
36.39	9.1	2 1 1
55.24	8.7	3 1 -5

Crystal structure
```
data_KHfAgSeS2
_chemical_formula_sum 'K2 Hf2 Ag2 Se2 S4'
_space_group_name_H-M_alt 'P 1 21/m 1'
_space_group_IT_number 11
_space_group_name_Hall '-P 2yb'
_cell_length_a 8.170
_cell_length_b 3.890
_cell_length_c 9.965
_cell_angle_alpha 90.00
_cell_angle_beta 109.86
_cell_angle_gamma 90.00
loop_
_atom_site_label
_atom_site_type_symbol
_atom_site_fract_x
_atom_site_fract_y
_atom_site_fract_z
K1 K 0.246 0.250 0.203
Hf1 Hf 0.196 0.750 0.663
Ag1 Ag 0.429 0.250 0.895
Se1 Se 0.053 0.750 0.369
S1 S 0.233 0.750 0.924
S2 S 0.390 0.250 0.636
```

(7)
This entry pairs a crystal structure of Co2HgGe2 with its calculated X-ray diffraction stick pattern. Radiation: Cu Kα (weighted mean of Kα1 and Kα2). Structure: a crystal structure in OQMD, relaxed with PBE.

Principal peaks in the range 10 to 90 degrees two-theta, most intense first:
2theta	I (rel.)	h k l
43.89	100.0	2 1 1
32.75	87.3	0 1 2
41.53	71.3	2 0 2
26.20	62.0	0 1 1
41.63	52.3	0 1 3
11.10	40.1	0 0 1
48.41	37.3	0 2 0
65.64	35.7	2 2 2
63.90	29.9	2 1 4
22.32	29.6	0 0 2

Crystal structure
```
data_Co2HgGe2
_chemical_formula_sum 'Co4 Hg2 Ge4'
_space_group_name_H-M_alt 'P m m a'
_space_group_IT_number 51
_space_group_name_Hall '-P 2a 2a'
_cell_length_a 5.190
_cell_length_b 3.761
_cell_length_c 7.968
_cell_angle_alpha 90.00
_cell_angle_beta 90.00
_cell_angle_gamma 90.00
loop_
_atom_site_label
_atom_site_type_symbol
_atom_site_fract_x
_atom_site_fract_y
_atom_site_fract_z
Co1 Co 0.000 0.000 0.000
Co2 Co 0.250 0.000 0.278
Hg1 Hg 0.000 0.500 0.500
Ge1 Ge 0.250 0.000 0.747
Ge2 Ge 0.250 0.500 0.098
```

(8)
This entry pairs a crystal structure of ZnCo2Os with its calculated X-ray diffraction stick pattern. Radiation: Cu Kα (weighted mean of Kα1 and Kα2). Structure: a crystal structure in OQMD, relaxed with PBE.

Principal peaks in the range 10 to 90 degrees two-theta, most intense first:
2theta	I (rel.)	h k l
44.28	100.0	2 2 0
81.51	32.0	4 2 2
26.69	27.0	1 1 1
64.42	15.8	4 0 0
52.46	13.8	3 1 1
30.91	12.0	2 0 0
71.02	5.9	3 3 1
87.65	4.8	5 1 1
73.16	4.6	4 2 0
54.98	3.4	2 2 2

Crystal structure
```
data_ZnCo2Os
_chemical_formula_sum 'Zn4 Co8 Os4'
_space_group_name_H-M_alt 'F -4 3 m'
_space_group_IT_number 216
_space_group_name_Hall 'F -4 2 3'
_cell_length_a 5.785
_cell_length_b 5.785
_cell_length_c 5.785
_cell_angle_alpha 90.00
_cell_angle_beta 90.00
_cell_angle_gamma 90.00
loop_
_atom_site_label
_atom_site_type_symbol
_atom_site_fract_x
_atom_site_fract_y
_atom_site_fract_z
Zn1 Zn 0.000 0.000 0.000
Co1 Co 0.000 0.000 0.500
Co2 Co 0.250 0.250 0.750
Os1 Os 0.250 0.250 0.250
```